No. 1
Starting from a PBE-relaxed structure, the X-ray powder pattern of CaDyTh2Se4 was simulated for λ = 1.5418 Å (Cu Kα).
Kinematic intensities with the Lorentz-polarization factor, no thermal factor.

Atomic structure:
```
data_CaDyTh2Se4
_space_group_name_H-M_alt 'P 1 2/m 1'
_space_group_IT_number 10
_cell_length_a 6.9711
_cell_length_b 4.0143
_cell_length_c 7.6433
_cell_angle_alpha 90.00
_cell_angle_beta 107.61
_cell_angle_gamma 90.00
loop_
_space_group_symop_operation_xyz
'x,y,z'
'-x,-y,-z'
'-x,y,-z'
'x,-y,z'
loop_
_atom_site_label
_atom_site_fract_x
_atom_site_fract_y
_atom_site_fract_z
_atom_site_occupancy
Ca1 0.0000 0.0000 0.0000 1
Dy1 0.5000 0.5000 0.0000 1
Th1 0.0000 0.5000 0.5000 1
Th2 0.5000 0.0000 0.5000 1
Se1 0.2462 0.5000 0.2340 1
Se2 0.2562 0.0000 0.7661 1
```

Top 6 peaks for 2θ = 5–70°, in order of falling intensity:
- d = 2.936 Å, 30.45 deg, I = 100, hkl 1 1 1
- d = 2.149 Å, 42.04 deg, I = 41, hkl 2 0 2
- d = 2.010 Å, 45.11 deg, I = 35, hkl 0 2 0
- d = 3.317 Å, 26.88 deg, I = 16, hkl 2 0 0
- d = 1.657 Å, 55.45 deg, I = 12, hkl 2 2 -2
- d = 1.468 Å, 63.36 deg, I = 12, hkl 2 2 2

No. 2
Starting from a PBE-relaxed structure, the X-ray powder pattern of AgAsSe4 was simulated for λ = 1.5418 Å (Cu Kα).
Kinematic intensities with the Lorentz-polarization factor, no thermal factor.

Atomic structure:
```
data_AgAsSe4
_space_group_name_H-M_alt 'P 1 2/c 1'
_space_group_IT_number 13
_cell_length_a 6.4744
_cell_length_b 8.1788
_cell_length_c 8.3135
_cell_angle_alpha 90.00
_cell_angle_beta 118.18
_cell_angle_gamma 90.00
loop_
_space_group_symop_operation_xyz
'x,y,z'
'-x,-y,-z'
'-x,y,-z+1/2'
'x,-y,z+1/2'
loop_
_atom_site_label
_atom_site_fract_x
_atom_site_fract_y
_atom_site_fract_z
_atom_site_occupancy
Ag1 0.0000 0.1858 0.2500 1
As1 0.5000 0.2426 0.7500 1
Se1 0.1862 0.3905 0.5266 1
Se2 0.3207 0.0652 0.8946 1
```

Top 6 peaks for 2θ = 5–70°, in order of falling intensity:
- d = 4.898 Å, 18.11 deg, I = 100, hkl 1 1 -1
- d = 3.652 Å, 24.37 deg, I = 62, hkl 1 1 -2
- d = 2.756 Å, 32.49 deg, I = 52, hkl 1 2 1
- d = 1.941 Å, 46.80 deg, I = 24, hkl 1 3 -3
- d = 3.395 Å, 26.25 deg, I = 22, hkl 1 1 1
- d = 2.082 Å, 43.47 deg, I = 21, hkl 2 3 -1

No. 3
Starting from a PBE-relaxed structure, the X-ray powder pattern of Ac6PmSn2 was simulated for λ = 1.5418 Å (Cu Kα).
Kinematic intensities with the Lorentz-polarization factor, no thermal factor.

Atomic structure:
```
data_Ac6PmSn2
_space_group_name_H-M_alt 'C 1 2/c 1'
_space_group_IT_number 15
_cell_length_a 21.1605
_cell_length_b 12.1987
_cell_length_c 5.6357
_cell_angle_alpha 90.00
_cell_angle_beta 90.02
_cell_angle_gamma 90.00
loop_
_space_group_symop_operation_xyz
'x,y,z'
'-x,-y,-z'
'-x,y,-z+1/2'
'x,-y,z+1/2'
'x+1/2,y+1/2,z'
'-x+1/2,-y+1/2,-z'
'-x+1/2,y+1/2,-z+1/2'
'x+1/2,-y+1/2,z+1/2'
loop_
_atom_site_label
_atom_site_fract_x
_atom_site_fract_y
_atom_site_fract_z
_atom_site_occupancy
Ac1 0.0851 0.0830 0.2482 1
Ac2 0.0990 0.3917 0.2507 1
Ac3 0.2454 0.3892 0.7513 1
Pm1 0.0000 0.2561 0.7500 1
Sn1 0.1526 0.1730 0.7484 1
```

Top 6 peaks for 2θ = 5–70°, in order of falling intensity:
- d = 3.259 Å, 27.36 deg, I = 100, hkl 1 3 1
- d = 2.818 Å, 31.76 deg, I = 29, hkl 0 0 2
- d = 2.602 Å, 34.47 deg, I = 26, hkl 5 3 -1
- d = 3.051 Å, 29.27 deg, I = 22, hkl 0 4 0
- d = 2.684 Å, 33.39 deg, I = 19, hkl 6 2 1
- d = 1.700 Å, 53.93 deg, I = 16, hkl 1 3 3

No. 4
Starting from a PBE-relaxed structure, the X-ray powder pattern of SrTiGeO5 was simulated for λ = 1.5418 Å (Cu Kα).
Kinematic intensities with the Lorentz-polarization factor, no thermal factor.

Atomic structure:
```
data_SrTiGeO5
_space_group_name_H-M_alt 'P 1 21/c 1'
_space_group_IT_number 14
_cell_length_a 6.9016
_cell_length_b 9.1658
_cell_length_c 7.3540
_cell_angle_alpha 90.00
_cell_angle_beta 114.05
_cell_angle_gamma 90.00
loop_
_space_group_symop_operation_xyz
'x,y,z'
'-x,-y,-z'
'-x,y+1/2,-z+1/2'
'x,-y+1/2,z+1/2'
loop_
_atom_site_label
_atom_site_fract_x
_atom_site_fract_y
_atom_site_fract_z
_atom_site_occupancy
Sr1 0.2471 0.0778 0.2553 1
Ti1 0.2508 0.7470 0.5157 1
Ge1 0.2514 0.0639 0.7524 1
O1 0.0552 0.1839 0.5874 1
O2 0.1555 0.5428 0.4004 1
O3 0.2492 0.6920 0.7489 1
O4 0.3483 0.5446 0.1065 1
O5 0.4462 0.1865 0.9134 1
```

Top 6 peaks for 2θ = 5–70°, in order of falling intensity:
- d = 2.749 Å, 32.57 deg, I = 100, hkl 1 3 0
- d = 3.151 Å, 28.32 deg, I = 93, hkl 2 0 0
- d = 3.385 Å, 26.33 deg, I = 84, hkl 1 1 -2
- d = 2.709 Å, 33.07 deg, I = 51, hkl 0 2 2
- d = 1.731 Å, 52.89 deg, I = 34, hkl 3 3 0
- d = 2.341 Å, 38.46 deg, I = 30, hkl 1 3 -2

No. 5
Starting from a PBE-relaxed structure, the X-ray powder pattern of Tc4TeAs2 was simulated for λ = 1.5418 Å (Cu Kα).
Kinematic intensities with the Lorentz-polarization factor, no thermal factor.

Atomic structure:
```
data_Tc4TeAs2
_space_group_name_H-M_alt 'I 4/m m m'
_space_group_IT_number 139
_space_group_name_Hall '-I 4 2'
_cell_length_a 4.8029
_cell_length_b 4.8029
_cell_length_c 12.8054
_cell_angle_alpha 90.00
_cell_angle_beta 90.00
_cell_angle_gamma 90.00
loop_
_atom_site_label
_atom_site_fract_x
_atom_site_fract_y
_atom_site_fract_z
_atom_site_occupancy
Tc1 0.0000 0.0000 0.2023 1
Tc2 0.0000 0.5000 0.0000 1
Te1 0.0000 0.0000 0.0000 1
As1 0.0000 0.0000 0.3852 1
```

Top 6 peaks for 2θ = 5–70°, in order of falling intensity:
- d = 2.401 Å, 37.45 deg, I = 100, hkl 2 0 0
- d = 2.260 Å, 39.89 deg, I = 77, hkl 1 0 5
- d = 1.646 Å, 55.87 deg, I = 57, hkl 2 1 5
- d = 3.396 Å, 26.24 deg, I = 43, hkl 1 1 0
- d = 3.000 Å, 29.78 deg, I = 41, hkl 1 1 2
- d = 6.403 Å, 13.83 deg, I = 40, hkl 0 0 2

No. 6
Starting from a PBE-relaxed structure, the X-ray powder pattern of Cs2TmCd2S4 was simulated for λ = 1.5418 Å (Cu Kα).
Kinematic intensities with the Lorentz-polarization factor, no thermal factor.

Atomic structure:
```
data_Cs2TmCd2S4
_space_group_name_H-M_alt 'C 1 2/m 1'
_space_group_IT_number 12
_cell_length_a 16.6349
_cell_length_b 4.0354
_cell_length_c 8.5574
_cell_angle_alpha 90.00
_cell_angle_beta 113.06
_cell_angle_gamma 90.00
loop_
_space_group_symop_operation_xyz
'x,y,z'
'-x,-y,-z'
'-x,y,-z'
'x,-y,z'
'x+1/2,y+1/2,z'
'-x+1/2,-y+1/2,-z'
'-x+1/2,y+1/2,-z'
'x+1/2,-y+1/2,z'
loop_
_atom_site_label
_atom_site_fract_x
_atom_site_fract_y
_atom_site_fract_z
_atom_site_occupancy
Cs1 0.1269 0.0000 0.0580 1
Tm1 0.0000 0.0000 0.5000 1
Cd1 0.1842 0.5000 0.5200 1
S1 0.0245 0.5000 0.3009 1
S2 0.1764 0.0000 0.7064 1
```

Top 6 peaks for 2θ = 5–70°, in order of falling intensity:
- d = 3.220 Å, 27.71 deg, I = 100, hkl 3 1 -1
- d = 2.717 Å, 32.97 deg, I = 91, hkl 3 1 1
- d = 3.937 Å, 22.59 deg, I = 76, hkl 0 0 2
- d = 2.825 Å, 31.68 deg, I = 71, hkl 3 1 -2
- d = 7.874 Å, 11.24 deg, I = 64, hkl 0 0 1
- d = 3.009 Å, 29.69 deg, I = 49, hkl 4 0 1